Record 1
For Pm5SnC, a cell relaxed with PBE gives the computed PXRD pattern in this record (Cu Kα (λ = 1.5418 Å)).
Peak positions follow from Bragg's law for the DFT cell and can differ from measured ones.

Crystal structure
a b c (Å): 6.792 6.792 10.921
angles (deg): 108.26 108.26 59.69
Positions (direct):
1 Pm 0.026 0.974 0.750
2 Pm 0.027 0.368 0.624
3 Pm 0.194 0.574 0.959
4 Pm 0.368 0.027 0.124
5 Pm 0.426 0.806 0.541
6 Pm 0.574 0.194 0.459
7 Pm 0.632 0.973 0.876
8 Pm 0.806 0.426 0.041
9 Pm 0.973 0.632 0.376
10 Pm 0.974 0.026 0.250
11 Sn 0.485 0.515 0.250
12 Sn 0.515 0.485 0.750
13 C 0.000 0.000 0.000
14 C 0.000 0.000 0.500

Most intense lines, 10 to 90 degrees two-theta, low angle first:
2θ = 27.86°, intensity 81
2θ = 30.63°, intensity 69
2θ = 30.91°, intensity 77
2θ = 31.07°, intensity 37
2θ = 31.69°, intensity 49
2θ = 31.78°, intensity 47
2θ = 32.71°, intensity 51
2θ = 33.03°, intensity 100


Record 2
For Dy5Sc2Tl4, a cell relaxed with PBE gives the computed PXRD pattern in this record (Cu Kα (λ = 1.5418 Å)).
Peak positions follow from Bragg's law for the DFT cell and can differ from measured ones.

Crystal structure
a b c (Å): 10.642 10.642 10.642
angles (deg): 160.93 121.98 61.66
Positions (direct):
1 Dy 0.000 0.000 0.000
2 Dy 0.142 0.312 0.831
3 Dy 0.481 0.312 0.169
4 Dy 0.519 0.688 0.831
5 Dy 0.858 0.688 0.169
6 Sc 0.177 0.677 0.500
7 Sc 0.823 0.323 0.500
8 Tl 0.258 0.500 0.758
9 Tl 0.420 0.920 0.500
10 Tl 0.580 0.080 0.500
11 Tl 0.742 0.500 0.242

Most intense lines, 10 to 90 degrees two-theta, low angle first:
2θ = 31.11°, intensity 100
2θ = 34.17°, intensity 34
2θ = 35.39°, intensity 70
2θ = 35.84°, intensity 51
2θ = 36.17°, intensity 28
2θ = 36.49°, intensity 35
2θ = 40.09°, intensity 29
2θ = 64.63°, intensity 33


Record 3
For Rh3W, a cell relaxed with PBE gives the computed PXRD pattern in this record (Cu Kα (λ = 1.5418 Å)).
Peak positions follow from Bragg's law for the DFT cell and can differ from measured ones.

Crystal structure
a b c (Å): 5.524 5.524 4.373
angles (deg): 90.00 90.00 120.00
Positions (direct):
1 Rh 0.167 0.334 0.250
2 Rh 0.167 0.833 0.250
3 Rh 0.334 0.167 0.750
4 Rh 0.666 0.833 0.250
5 Rh 0.833 0.167 0.750
6 Rh 0.833 0.666 0.750
7 W 0.333 0.667 0.750
8 W 0.667 0.333 0.250

Most intense lines, 10 to 90 degrees two-theta, low angle first:
2θ = 37.60°, intensity 25
2θ = 41.29°, intensity 25
2θ = 43.11°, intensity 100
2θ = 57.07°, intensity 14
2θ = 67.87°, intensity 17
2θ = 76.54°, intensity 18
2θ = 82.64°, intensity 20
2θ = 83.87°, intensity 14


Record 4
For Tl2Sn2Au5, a cell relaxed with PBE gives the computed PXRD pattern in this record (Cu Kα (λ = 1.5418 Å)).
Peak positions follow from Bragg's law for the DFT cell and can differ from measured ones.

Crystal structure
a b c (Å): 8.260 8.260 8.414
angles (deg): 90.00 90.00 51.18
Positions (direct):
1 Tl 0.203 0.203 0.000
2 Tl 0.297 0.297 0.500
3 Tl 0.703 0.703 0.500
4 Tl 0.797 0.797 0.000
5 Sn 0.158 0.842 0.679
6 Sn 0.342 0.658 0.179
7 Sn 0.658 0.342 0.821
8 Sn 0.842 0.158 0.321
9 Au 0.000 0.000 0.000
10 Au 0.029 0.728 0.383
11 Au 0.228 0.529 0.883
12 Au 0.272 0.971 0.383
13 Au 0.471 0.772 0.883
14 Au 0.500 0.500 0.500
15 Au 0.529 0.228 0.117
16 Au 0.728 0.029 0.617
17 Au 0.772 0.471 0.117
18 Au 0.971 0.272 0.617

Most intense lines, 10 to 90 degrees two-theta, low angle first:
2θ = 21.12°, intensity 35
2θ = 30.54°, intensity 72
2θ = 32.92°, intensity 35
2θ = 34.31°, intensity 100
2θ = 34.88°, intensity 80
2θ = 36.47°, intensity 66
2θ = 39.14°, intensity 47
2θ = 39.85°, intensity 70


Record 5
For Tb2CuSb4, a cell relaxed with PBE gives the computed PXRD pattern in this record (Cu Kα (λ = 1.5418 Å)).
Peak positions follow from Bragg's law for the DFT cell and can differ from measured ones.

Crystal structure
a b c (Å): 4.366 4.366 9.392
angles (deg): 90.00 90.00 90.00
Positions (direct):
1 Tb 0.000 0.500 0.238
2 Tb 0.500 0.000 0.762
3 Cu 0.500 0.500 0.000
4 Sb 0.000 0.000 0.500
5 Sb 0.000 0.500 0.856
6 Sb 0.500 0.000 0.144
7 Sb 0.500 0.500 0.500

Most intense lines, 10 to 90 degrees two-theta, low angle first:
2θ = 28.51°, intensity 20
2θ = 30.48°, intensity 37
2θ = 34.78°, intensity 100
2θ = 35.28°, intensity 35
2θ = 41.36°, intensity 50
2θ = 53.08°, intensity 18
2θ = 55.47°, intensity 19
2θ = 71.19°, intensity 24


Record 6
For SrMg2H7, a cell relaxed with PBE gives the computed PXRD pattern in this record (Cu Kα (λ = 1.5418 Å)).
Peak positions follow from Bragg's law for the DFT cell and can differ from measured ones.

Crystal structure
a b c (Å): 5.794 5.794 3.744
angles (deg): 90.00 90.00 119.57
Positions (direct):
1 Sr 0.000 0.000 0.000
2 Mg 0.292 0.708 0.500
3 Mg 0.708 0.292 0.500
4 H 0.073 0.324 0.500
5 H 0.263 0.737 0.000
6 H 0.324 0.073 0.500
7 H 0.500 0.500 0.500
8 H 0.676 0.927 0.500
9 H 0.737 0.263 0.000
10 H 0.927 0.676 0.500

Most intense lines, 10 to 90 degrees two-theta, low angle first:
2θ = 17.60°, intensity 53
2θ = 29.76°, intensity 100
2θ = 30.66°, intensity 24
2θ = 30.87°, intensity 37
2θ = 43.28°, intensity 32
2θ = 53.93°, intensity 11
2θ = 54.28°, intensity 19
2θ = 58.72°, intensity 12